# Mg2PPd4Pt2
Simulated powder X-ray diffraction pattern, Cu Ka. Input: a GGA-PBE-relaxed structure.

Atomic structure:
```
Mg2PPd4Pt2
1.0
-2.973 2.973 4.179
2.973 -2.973 4.179
2.973 2.973 -4.179
Mg P Pd Pt
2 1 4 2
Cartesian
2.973 0.000 2.089
0.000 2.973 2.089
0.000 0.000 0.000
1.580 1.580 0.000
1.393 -1.393 4.179
-1.393 1.393 4.179
1.393 1.393 4.179
0.000 0.000 2.218
0.000 0.000 6.139
```

Largest 10 diffraction maxima, by intensity, 2θ from 10° to 80°:
2theta	Rel. int.
37.12	100
21.13	41
43.03	38
74.97	23
62.70	23
30.15	21
43.30	18
62.49	12
79.07	11
75.35	11



# K8TcO6
Simulated powder X-ray diffraction pattern, Cu Ka. Input: a GGA-PBE-relaxed structure.

Atomic structure:
```
K8TcO6
1.0
7.487 0.000 0.000
0.000 7.751 0.000
0.000 0.000 13.903
K Tc O
16 2 12
Cartesian
0.000 0.847 0.000
0.000 5.651 6.147
1.563 4.329 1.398
1.774 4.436 11.787
1.846 7.092 3.557
1.898 0.659 10.509
1.970 3.315 4.835
2.181 3.421 8.350
3.744 2.100 13.098
3.744 6.904 6.951
5.306 3.421 8.350
5.518 3.315 4.835
5.589 0.659 10.509
5.642 7.092 3.557
5.714 4.436 11.787
5.925 4.329 1.398
0.000 1.178 6.885
3.744 6.572 13.836
0.000 1.246 8.739
0.000 3.038 6.597
0.000 3.335 13.373
0.000 5.223 3.526
1.507 0.443 6.121
2.237 7.308 13.072
3.744 2.528 10.478
3.744 4.415 6.422
3.744 4.713 13.549
3.744 6.505 1.788
5.251 7.308 13.072
5.981 0.443 6.121
```

Largest 10 diffraction maxima, by intensity, 2θ from 10° to 80°:
2theta	Rel. int.
13.08	100
27.05	97
28.14	94
12.73	91
13.43	89
20.87	76
25.89	49
35.23	48
37.15	45
33.28	45



# Sr3Ga2Cl2O5
Simulated powder X-ray diffraction pattern, Cu Ka. Input: a GGA-PBE-relaxed structure.

Atomic structure:
```
Sr3Ga2Cl2O5
1.0
9.661 0.000 0.000
0.000 9.665 0.000
0.000 0.000 9.680
Sr Ga Cl O
12 8 8 20
Cartesian
0.028 2.176 0.811
0.795 9.253 7.316
2.188 5.647 0.126
2.643 4.018 4.966
4.036 0.412 2.476
4.802 7.489 5.651
4.859 2.656 8.870
5.625 5.244 2.364
7.019 8.850 9.554
7.473 0.815 4.714
8.866 4.420 7.204
9.633 7.008 4.030
0.918 8.633 0.920
0.992 0.870 3.830
3.838 8.795 8.671
3.912 1.032 5.760
5.749 5.864 8.760
5.823 3.963 5.850
8.669 5.702 1.010
8.743 3.800 3.920
1.639 2.560 7.892
2.076 6.335 6.798
2.754 3.330 1.958
3.192 7.105 3.052
6.470 2.272 1.788
6.907 8.162 2.882
7.585 1.502 7.722
8.022 7.392 6.628
0.103 9.362 4.917
0.303 4.712 4.941
0.319 6.971 1.547
1.548 0.224 2.147
2.263 8.106 9.384
2.568 1.558 4.544
3.282 9.441 6.987
4.511 2.694 6.388
4.528 4.953 0.101
4.727 0.302 0.077
4.934 5.135 4.763
5.133 0.121 4.739
5.150 7.526 8.133
6.379 4.608 7.533
7.094 6.391 0.297
7.398 3.274 5.137
8.113 5.056 2.693
9.342 2.139 3.293
9.358 9.544 9.579
9.558 4.530 9.603
```

Largest 10 diffraction maxima, by intensity, 2θ from 10° to 80°:
2theta	Rel. int.
29.21	100
34.71	77
22.53	33
47.98	24
58.86	20
41.78	17
62.22	14
32.07	12
51.78	11
12.95	11